This entry pairs a crystal structure of Li7NiO4F2 with its computed powder X-ray diffraction pattern. Radiation: Cu Kα. Structure: a cell relaxed with GGA+U.

Structure:
Unit cell a=5.2442 b=5.6715 c=10.0960 alpha=74.68 beta=79.52 gamma=66.53
Fractional positions:
Li 0.0000 0.0000 0.0000
Li 0.0028 0.2248 0.4619
Li 0.0117 0.3059 0.6882
Li 0.0262 0.7653 0.5345
Li 0.0366 0.7405 0.7809
Li 0.4754 0.9827 0.3637
Li 0.4808 0.2301 0.1320
Li 0.4872 0.1331 0.8461
Li 0.4931 0.1154 0.6184
Li 0.4977 0.7520 0.1689
Li 0.5137 0.5029 0.4247
Li 0.6129 0.5493 0.9276
Li 0.9913 0.5625 0.1126
Li 0.9972 0.6324 0.3273
Ni 0.5080 0.6693 0.6506
Ni 0.9727 0.1091 0.2315
O 0.1611 0.3013 0.2726
O 0.1953 0.9833 0.6081
O 0.2377 0.7979 0.3373
O 0.3112 0.4400 0.6828
O 0.6601 0.7980 0.7583
O 0.7228 0.4170 0.1197
O 0.7869 0.5657 0.5107
O 0.7948 0.9031 0.1860
F 0.1966 0.6582 0.9523
F 0.3165 0.0575 0.0302
F 0.6885 0.1391 0.4397
F 0.7958 0.2204 0.8545

The 10 most intense peaks (15 to 90 degrees two-theta), by angle:
(0 1 1), 2θ 17.9, intensity 946
(0 0 2), 2θ 18.3, intensity 616
(1 0 1), 2θ 19.9, intensity 780
(1 1 0), 2θ 20.2, intensity 632
(1 0 -1), 2θ 21.4, intensity 1000
(1 1 2), 2θ 23.5, intensity 373
(1 2 1), 2θ 32.0, intensity 280
(1 0 -3), 2θ 34.8, intensity 608
(1 -1 2), 2θ 36.5, intensity 512
(2 2 2), 2θ 40.4, intensity 525